Starting from a structure optimized by DFT (GGA-PBE), the X-ray diffraction stick pattern of AcPmGaRu was computed for Cu Ka.
Kinematic intensities with the Lorentz-polarization factor, no thermal factor.

Cell and atoms:
abc: 4.234 4.534 10.983
angles: 90.00 90.00 90.00
Atoms (fractional coordinates):
Ac  0.000  0.000  0.000
Ac  0.000  0.500  0.500
Pm  0.500  0.000  0.284
Pm  0.500  0.500  0.784
Ga  0.500  0.000  0.593
Ga  0.500  0.500  0.093
Ru  0.000  0.000  0.727
Ru  0.000  0.500  0.227

Largest 12 diffraction maxima, low angle first, 2θ from 15° to 90°:
| 2theta | Rel. int. |
| --- | --- |
| 26.58 | 26 |
| 30.00 | 100 |
| 31.41 | 48 |
| 32.61 | 21 |
| 38.08 | 43 |
| 39.10 | 22 |
| 39.76 | 27 |
| 42.71 | 22 |
| 53.97 | 21 |
| 56.99 | 15 |
| 59.77 | 16 |
| 78.81 | 13 |



Starting from a structure optimized by DFT (GGA-PBE), the X-ray diffraction stick pattern of Li4Ga2Ag was computed for Cu Ka.
Kinematic intensities with the Lorentz-polarization factor, no thermal factor.

Cell and atoms:
abc: 5.749 7.720 5.527
angles: 90.00 90.00 90.00
Atoms (fractional coordinates):
Li  0.249  0.248  0.000
Li  0.249  0.752  0.000
Li  0.251  0.252  0.500
Li  0.251  0.748  0.500
Li  0.749  0.252  0.500
Li  0.749  0.748  0.500
Li  0.751  0.248  0.000
Li  0.751  0.752  0.000
Ga  0.000  0.000  0.745
Ga  0.000  0.500  0.249
Ga  0.500  0.000  0.749
Ga  0.500  0.500  0.245
Ag  0.000  0.500  0.751
Ag  0.500  0.000  0.251

Largest 12 diffraction maxima, low angle first, 2θ from 15° to 90°:
| 2theta | Rel. int. |
| --- | --- |
| 19.25 | 69 |
| 22.31 | 48 |
| 23.04 | 100 |
| 31.12 | 47 |
| 32.29 | 38 |
| 32.40 | 42 |
| 37.96 | 24 |
| 39.07 | 69 |
| 40.13 | 64 |
| 45.53 | 44 |
| 51.63 | 43 |
| 67.58 | 26 |



Starting from a structure optimized by DFT (GGA-PBE), the X-ray diffraction stick pattern of Ag3SnBi was computed for Cu Ka.
Kinematic intensities with the Lorentz-polarization factor, no thermal factor.

Cell and atoms:
abc: 7.162 7.689 9.426
angles: 90.00 117.40 90.00
Atoms (fractional coordinates):
Ag  0.063  0.143  0.125
Ag  0.063  0.357  0.625
Ag  0.262  0.597  0.898
Ag  0.262  0.903  0.398
Ag  0.372  0.608  0.632
Ag  0.372  0.892  0.132
Ag  0.628  0.108  0.868
Ag  0.628  0.392  0.368
Ag  0.738  0.097  0.602
Ag  0.738  0.403  0.102
Ag  0.937  0.643  0.375
Ag  0.937  0.857  0.875
Sn  0.334  0.233  0.988
Sn  0.334  0.267  0.488
Sn  0.666  0.733  0.512
Sn  0.666  0.767  0.012
Bi  0.192  0.563  0.201
Bi  0.192  0.937  0.701
Bi  0.808  0.063  0.299
Bi  0.808  0.437  0.799

Largest 12 diffraction maxima, low angle first, 2θ from 15° to 90°:
| 2theta | Rel. int. |
| --- | --- |
| 28.07 | 36 |
| 30.51 | 24 |
| 30.75 | 79 |
| 31.50 | 79 |
| 31.60 | 43 |
| 32.70 | 55 |
| 36.47 | 51 |
| 37.73 | 64 |
| 37.85 | 100 |
| 38.62 | 30 |
| 39.41 | 97 |
| 41.62 | 23 |